(1)
Ta2Mn2NbS6: calculated X-ray diffraction stick pattern (λ = 1.5418 Å (Cu Kα)), based on a structure optimized by DFT (GGA-PBE).

Largest 12 diffraction maxima, sorted by position, 15 to 90 degrees two-theta:
2theta	d (Å)	I_rel
17.8	4.973	20
29.0	3.075	15
31.2	2.871	61
34.5	2.602	65
43.1	2.099	100
55.0	1.668	14
55.4	1.658	30
57.6	1.601	11
63.8	1.459	10
69.3	1.355	13
72.7	1.301	21
86.3	1.127	17

Crystal structure
```
Ta2Mn2NbS6
1.0
5.742 0.000 0.000
-2.871 4.973 0.000
0.000 0.000 6.150
Ta Mn Nb S
2 2 1 6
Cartesian
0.000 3.315 0.000
2.871 1.658 0.000
0.000 3.315 3.075
2.871 1.658 3.075
0.000 0.000 0.000
-0.952 1.649 1.632
-1.919 3.324 4.519
1.904 0.000 1.632
0.952 1.649 4.519
3.839 0.000 4.519
1.919 3.324 1.632
```

(2)
NaPmSnRh: calculated X-ray diffraction stick pattern (λ = 1.5418 Å (Cu Kα)), based on a structure optimized by DFT (GGA-PBE).

Largest 12 diffraction maxima, sorted by position, 15 to 90 degrees two-theta:
2theta	d (Å)	I_rel
22.1	4.028	11
25.5	3.489	15
36.4	2.467	100
43.0	2.104	6
45.0	2.014	5
52.5	1.744	18
57.6	1.601	2
59.2	1.560	6
65.5	1.424	36
77.4	1.233	11
83.1	1.163	3
88.7	1.103	16

Crystal structure
```
NaPmSnRh
1.0
0.000 3.489 3.489
3.489 0.000 3.489
3.489 3.489 0.000
Na Pm Sn Rh
1 1 1 1
Cartesian
0.000 0.000 0.000
1.744 1.744 1.744
5.233 5.233 5.233
3.489 3.489 3.489
```